Record 1
# TiBe17Nb
Calculated powder X-ray diffraction pattern, a wavelength of 1.5418 Å. Input: a crystal structure in Alexandria, relaxed with PBE.
Intensities are scaled so that the largest is 100.

Atomic structure:
```
TiBe17Nb
1.0
3.677 2.123 3.582
-3.677 2.123 3.582
0.000 -4.246 3.582
Ti Be Nb
1 17 1
Cartesian
0.000 0.000 0.000 Ti
-1.076 -1.877 3.625 Be
-2.163 0.006 3.625 Be
-1.869 -1.079 5.531 Be
0.000 0.000 2.567 Be
1.076 -1.877 3.625 Be
-1.087 1.870 3.625 Be
0.000 -2.117 5.423 Be
-1.834 1.059 5.423 Be
0.000 0.000 4.679 Be
-1.814 -1.048 8.879 Be
2.163 0.006 3.625 Be
1.087 1.870 3.625 Be
1.869 -1.079 5.531 Be
0.000 2.158 5.531 Be
1.834 1.059 5.423 Be
1.814 -1.048 8.879 Be
0.000 2.095 8.879 Be
0.000 0.000 7.252 Nb
```

Top 8 peaks for 10 to 90 degrees two-theta, in order of rising 2θ:
two_theta  d (Å)  intensity
16.18  5.479  85.7
21.64  4.107  42.8
24.20  3.677  93.1
34.97  2.566  100.0
42.59  2.123  39.6
49.58  1.839  33.3
49.94  1.826  60.6
50.96  1.792  30.8

=====

Record 2
# Pr5Nd2DyY
Calculated powder X-ray diffraction pattern, a wavelength of 1.5418 Å. Input: a crystal structure in Alexandria, relaxed with PBE.
Intensities are scaled so that the largest is 100.

Atomic structure:
```
Pr5Nd2DyY
1.0
-4.356 4.356 8.449
4.356 -4.356 8.449
4.356 4.356 -8.449
Pr Nd Dy Y
10 4 2 2
Cartesian
0.000 0.000 0.000 Pr
6.257 1.902 -2.422 Pr
1.902 2.454 -2.422 Pr
6.257 1.902 2.422 Pr
1.902 2.454 2.422 Pr
0.000 0.000 8.449 Pr
2.454 1.902 6.027 Pr
-1.902 2.454 6.027 Pr
2.454 1.902 10.871 Pr
-1.902 2.454 10.871 Pr
3.297 1.059 0.000 Nd
3.297 -1.059 8.449 Nd
1.059 5.414 0.000 Nd
1.059 3.297 8.449 Nd
0.000 0.000 4.225 Dy
0.000 0.000 12.674 Dy
4.356 0.000 4.225 Y
0.000 4.356 4.225 Y
```

Top 8 peaks for 10 to 90 degrees two-theta, in order of rising 2θ:
two_theta  d (Å)  intensity
27.84  3.204  47.2
28.99  3.080  52.3
29.45  3.032  100.0
32.50  2.755  17.1
37.61  2.392  14.8
38.05  2.365  12.2
42.85  2.111  23.6
51.67  1.769  27.3

=====

Record 3
# Pm3YIn3Te8
Calculated powder X-ray diffraction pattern, a wavelength of 1.5418 Å. Input: a crystal structure in Alexandria, relaxed with PBE.
Intensities are scaled so that the largest is 100.

Atomic structure:
```
Pm3YIn3Te8
1.0
4.453 2.571 7.895
-4.453 2.571 7.895
0.000 -5.142 7.895
Pm Y In Te
3 1 3 8
Cartesian
-2.226 -1.285 7.895 Pm
-2.226 1.285 15.790 Pm
0.000 2.571 7.895 Pm
0.000 0.000 0.000 Y
-4.453 0.000 11.843 In
-2.226 1.285 3.948 In
2.226 1.285 3.948 In
0.000 -2.610 9.698 Te
-2.260 1.305 9.698 Te
-2.260 -1.305 13.987 Te
0.000 0.000 6.052 Te
0.000 0.000 17.633 Te
2.260 1.305 9.698 Te
2.260 -1.305 13.987 Te
0.000 2.610 13.987 Te
```

Top 8 peaks for 10 to 90 degrees two-theta, in order of rising 2θ:
two_theta  d (Å)  intensity
27.60  3.231  100.0
38.33  2.348  39.6
40.52  2.226  36.0
49.73  1.833  19.4
57.00  1.616  12.3
62.93  1.477  16.7
66.01  1.415  16.4
72.25  1.308  11.9

=====

Record 4
# YTmGaRh
Calculated powder X-ray diffraction pattern, a wavelength of 1.5418 Å. Input: a crystal structure in Alexandria, relaxed with PBE.
Intensities are scaled so that the largest is 100.

Atomic structure:
```
YTmGaRh
1.0
4.287 0.000 0.000
0.000 1.942 5.326
0.000 -1.942 5.326
Y Tm Ga Rh
1 1 1 1
Cartesian
0.000 0.000 0.000 Y
2.144 0.000 3.021 Tm
2.144 0.000 6.103 Ga
0.000 0.000 7.676 Rh
```

Top 8 peaks for 10 to 90 degrees two-theta, in order of rising 2θ:
two_theta  d (Å)  intensity
16.65  5.326  20.5
32.21  2.779  100.0
33.66  2.663  21.9
34.22  2.621  33.6
39.85  2.262  25.4
40.34  2.236  58.3
42.16  2.144  26.7
46.77  1.942  19.7

=====

Record 5
# RbZr2NiRu
Calculated powder X-ray diffraction pattern, a wavelength of 1.5418 Å. Input: a crystal structure in Alexandria, relaxed with PBE.
Intensities are scaled so that the largest is 100.

Atomic structure:
```
RbZr2NiRu
1.0
5.021 0.000 0.000
0.000 5.021 0.000
0.000 0.000 5.059
Rb Zr Ni Ru
1 2 1 1
Cartesian
0.000 0.000 0.000 Rb
0.000 2.511 2.529 Zr
2.511 0.000 2.529 Zr
2.511 2.511 0.000 Ni
2.511 2.511 2.529 Ru
```

Top 8 peaks for 10 to 90 degrees two-theta, in order of rising 2θ:
two_theta  d (Å)  intensity
17.53  5.059  30.4
25.00  3.562  47.3
30.77  2.906  85.8
35.49  2.529  51.1
35.76  2.511  100.0
51.27  1.782  69.3
51.47  1.775  34.3
64.08  1.453  34.6

=====

Record 6
# Al3Ag4
Calculated powder X-ray diffraction pattern, a wavelength of 1.5418 Å. Input: a crystal structure in Alexandria, relaxed with PBE.
Intensities are scaled so that the largest is 100.

Atomic structure:
```
Al3Ag4
1.0
1.479 0.854 15.837
-1.479 0.854 15.837
0.000 -1.708 15.837
Al Ag
3 4
Cartesian
0.000 0.000 0.000 Al
0.000 0.000 6.702 Al
0.000 0.000 20.290 Al
0.000 0.000 13.665 Ag
0.000 0.000 27.090 Ag
0.000 0.000 33.910 Ag
0.000 0.000 40.530 Ag
```

Top 8 peaks for 10 to 90 degrees two-theta, in order of rising 2θ:
two_theta  d (Å)  intensity
11.17  7.919  21.8
37.52  2.397  100.0
39.84  2.262  26.4
44.30  2.045  60.0
62.82  1.479  20.8
66.04  1.415  15.7
77.02  1.238  21.4
80.03  1.199  18.4

=====

Record 7
# Sr4TbSe5
Calculated powder X-ray diffraction pattern, a wavelength of 1.5418 Å. Input: a crystal structure in Alexandria, relaxed with PBE.
Intensities are scaled so that the largest is 100.

Atomic structure:
```
Sr4TbSe5
1.0
-4.879 4.879 3.086
4.879 -4.879 3.086
4.879 4.879 -3.086
Sr Tb Se
4 1 5
Cartesian
6.829 0.944 0.000 Sr
0.944 2.929 0.000 Sr
3.935 1.950 3.086 Sr
-1.950 3.935 3.086 Sr
0.000 0.000 3.086 Tb
0.000 0.000 0.000 Se
3.945 2.081 0.000 Se
2.797 -0.934 3.086 Se
2.081 5.812 0.000 Se
0.934 2.797 3.086 Se
```

Top 8 peaks for 10 to 90 degrees two-theta, in order of rising 2θ:
two_theta  d (Å)  intensity
12.83  6.899  4.0
28.94  3.086  100.0
41.38  2.182  74.7
51.28  1.781  26.5
59.96  1.543  12.2
67.93  1.380  33.3
75.47  1.260  24.6
89.93  1.091  8.0

=====

Record 8
# Dy4TlCdO
Calculated powder X-ray diffraction pattern, a wavelength of 1.5418 Å. Input: a crystal structure in Alexandria, relaxed with PBE.
Intensities are scaled so that the largest is 100.

Atomic structure:
```
Dy4TlCdO
1.0
3.302 -8.023 0.000
3.302 8.023 0.000
0.000 0.000 6.607
Dy Tl Cd O
8 2 2 2
Cartesian
1.651 4.012 0.000 Dy
1.651 4.012 3.304 Dy
3.302 6.794 4.956 Dy
3.302 1.271 4.956 Dy
1.651 -4.012 0.000 Dy
1.651 -4.012 3.304 Dy
3.302 -1.271 1.652 Dy
3.302 -6.794 1.652 Dy
3.302 1.805 1.652 Tl
3.302 -1.805 4.956 Tl
3.302 6.171 1.652 Cd
3.302 -6.171 4.956 Cd
3.302 4.001 4.956 O
3.302 -4.001 1.652 O
```

Top 8 peaks for 10 to 90 degrees two-theta, in order of rising 2θ:
two_theta  d (Å)  intensity
29.24  3.054  85.7
33.51  2.674  33.1
33.89  2.645  26.0
35.20  2.550  100.0
38.55  2.336  69.9
51.98  1.759  38.1
55.65  1.652  24.0
67.58  1.386  30.5

=====

What did the fourth record say?
# YTmGaRh
Calculated powder X-ray diffraction pattern, a wavelength of 1.5418 Å. Input: a crystal structure in Alexandria, relaxed with PBE.
Intensities are scaled so that the largest is 100.

Atomic structure:
```
YTmGaRh
1.0
4.287 0.000 0.000
0.000 1.942 5.326
0.000 -1.942 5.326
Y Tm Ga Rh
1 1 1 1
Cartesian
0.000 0.000 0.000 Y
2.144 0.000 3.021 Tm
2.144 0.000 6.103 Ga
0.000 0.000 7.676 Rh
```

Top 8 peaks for 10 to 90 degrees two-theta, in order of rising 2θ:
two_theta  d (Å)  intensity
16.65  5.326  20.5
32.21  2.779  100.0
33.66  2.663  21.9
34.22  2.621  33.6
39.85  2.262  25.4
40.34  2.236  58.3
42.16  2.144  26.7
46.77  1.942  19.7

=====

Repeat the third record exactly.
# Pm3YIn3Te8
Calculated powder X-ray diffraction pattern, a wavelength of 1.5418 Å. Input: a crystal structure in Alexandria, relaxed with PBE.
Intensities are scaled so that the largest is 100.

Atomic structure:
```
Pm3YIn3Te8
1.0
4.453 2.571 7.895
-4.453 2.571 7.895
0.000 -5.142 7.895
Pm Y In Te
3 1 3 8
Cartesian
-2.226 -1.285 7.895 Pm
-2.226 1.285 15.790 Pm
0.000 2.571 7.895 Pm
0.000 0.000 0.000 Y
-4.453 0.000 11.843 In
-2.226 1.285 3.948 In
2.226 1.285 3.948 In
0.000 -2.610 9.698 Te
-2.260 1.305 9.698 Te
-2.260 -1.305 13.987 Te
0.000 0.000 6.052 Te
0.000 0.000 17.633 Te
2.260 1.305 9.698 Te
2.260 -1.305 13.987 Te
0.000 2.610 13.987 Te
```

Top 8 peaks for 10 to 90 degrees two-theta, in order of rising 2θ:
two_theta  d (Å)  intensity
27.60  3.231  100.0
38.33  2.348  39.6
40.52  2.226  36.0
49.73  1.833  19.4
57.00  1.616  12.3
62.93  1.477  16.7
66.01  1.415  16.4
72.25  1.308  11.9